1.
Theoretical powder diffractogram
Compound: BaSrI4
Radiation: a wavelength of 1.5418 Å
Structure: the PBE geometry in the Materials Project
Lines closer than 0.1° are merged.

Most intense lines, 15° ≤ 2θ ≤ 90°, by angle:
2θ (°)	d_spacing	Rel. int.
15.82	5.602	48
23.57	3.775	100
25.13	3.543	37
30.71	2.911	62
31.96	2.800	31
35.13	2.555	20
38.37	2.346	52
48.22	1.887	17
60.28	1.535	18
66.10	1.413	16

Structural model:
a = 10.219 Å, b = 11.197 Å, c = 11.208 Å
α = 90.00°, β = 90.00°, γ = 90.00°
Atoms (fractional coordinates):
Ba  0.004  0.239  0.000
Ba  0.496  0.739  0.500
Ba  0.504  0.261  0.000
Ba  0.996  0.761  0.500
Sr  0.227  0.251  0.500
Sr  0.273  0.751  0.000
Sr  0.727  0.249  0.500
Sr  0.773  0.749  0.000
I  0.021  0.767  0.811
I  0.021  0.774  0.189
I  0.234  0.545  0.489
I  0.244  0.456  0.009
I  0.256  0.956  0.509
I  0.266  0.045  0.989
I  0.479  0.267  0.311
I  0.479  0.274  0.689
I  0.521  0.726  0.189
I  0.521  0.733  0.811
I  0.734  0.955  0.489
I  0.744  0.044  0.009
I  0.756  0.544  0.509
I  0.766  0.455  0.989
I  0.979  0.226  0.689
I  0.979  0.233  0.311

---

2.
Theoretical powder diffractogram
Compound: VS2
Radiation: a wavelength of 1.5418 Å
Structure: the PBE geometry in the Materials Project
Lines closer than 0.1° are merged.

Most intense lines, 15° ≤ 2θ ≤ 90°, by angle:
2θ (°)	d_spacing	Rel. int.
32.51	2.754	48
34.87	2.573	26
37.63	2.390	76
45.53	1.992	100
55.70	1.650	15
58.00	1.590	30
59.53	1.553	19
71.23	1.324	10
76.67	1.243	19
80.53	1.193	11

Structural model:
a = 3.180 Å, b = 3.180 Å, c = 14.430 Å
α = 90.00°, β = 90.00°, γ = 120.00°
Atoms (fractional coordinates):
V  0.333  0.667  0.250
V  0.667  0.333  0.750
S  0.333  0.667  0.647
S  0.333  0.667  0.853
S  0.667  0.333  0.147
S  0.667  0.333  0.353

---

3.
Theoretical powder diffractogram
Compound: LiAl3Si9N14O2
Radiation: a wavelength of 1.5418 Å
Structure: the PBE geometry in the Materials Project
Lines closer than 0.1° are merged.

Most intense lines, 15° ≤ 2θ ≤ 90°, by angle:
2θ (°)	d_spacing	Rel. int.
20.25	4.385	97
22.59	3.936	34
30.46	2.935	97
34.02	2.636	100
34.63	2.590	45
34.80	2.578	67
38.17	2.357	40
38.31	2.350	28
42.72	2.117	29
63.71	1.461	28

Structural model:
a = 5.712 Å, b = 7.865 Å, c = 7.877 Å
α = 60.37°, β = 89.77°, γ = 89.87°
Atoms (fractional coordinates):
Li  0.000  0.000  0.000
Al  0.062  0.244  0.571
Al  0.268  0.423  0.829
Al  0.567  0.091  0.161
Si  0.056  0.180  0.235
Si  0.064  0.579  0.176
Si  0.263  0.762  0.404
Si  0.267  0.839  0.744
Si  0.562  0.752  0.090
Si  0.573  0.150  0.742
Si  0.762  0.584  0.494
Si  0.776  0.500  0.915
Si  0.776  0.918  0.585
N  0.006  0.336  0.984
N  0.016  0.977  0.682
N  0.020  0.661  0.347
N  0.137  0.338  0.315
N  0.266  0.014  0.254
N  0.270  0.682  0.650
N  0.287  0.719  0.005
N  0.520  0.984  0.664
N  0.522  0.683  0.338
N  0.637  0.000  0.987
N  0.768  0.664  0.667
N  0.776  0.331  0.618
N  0.789  0.618  0.054
N  0.798  0.054  0.335
O  0.304  0.264  0.721
O  0.531  0.358  0.977

---

4.
Theoretical powder diffractogram
Compound: NaNb6O15F
Radiation: a wavelength of 1.5418 Å
Structure: the PBE geometry in the Materials Project
Lines closer than 0.1° are merged.

Most intense lines, 15° ≤ 2θ ≤ 90°, by angle:
2θ (°)	d_spacing	Rel. int.
22.50	3.952	100
23.78	3.741	36
26.12	3.411	69
29.30	3.048	36
32.97	2.717	18
34.74	2.582	30
37.25	2.414	17
45.92	1.976	27
53.60	1.710	17
55.43	1.658	18

Structural model:
a = 3.952 Å, b = 9.144 Å, c = 9.144 Å
α = 70.16°, β = 90.00°, γ = 90.00°
Atoms (fractional coordinates):
Na  0.000  0.000  0.000
Nb  0.500  0.027  0.668
Nb  0.500  0.187  0.187
Nb  0.500  0.405  0.405
Nb  0.500  0.410  0.777
Nb  0.500  0.668  0.027
Nb  0.500  0.777  0.410
O  0.000  0.040  0.688
O  0.000  0.182  0.182
O  0.000  0.414  0.765
O  0.000  0.688  0.040
O  0.000  0.765  0.414
O  0.500  0.177  0.414
O  0.500  0.224  0.958
O  0.500  0.261  0.635
O  0.500  0.414  0.177
O  0.500  0.541  0.541
O  0.500  0.570  0.873
O  0.500  0.635  0.261
O  0.500  0.873  0.570
O  0.500  0.891  0.891
O  0.500  0.958  0.224
F  0.000  0.404  0.404

---

5.
Theoretical powder diffractogram
Compound: V3ReB4
Radiation: a wavelength of 1.5418 Å
Structure: the PBE geometry in the Materials Project
Lines closer than 0.1° are merged.

Most intense lines, 15° ≤ 2θ ≤ 90°, by angle:
2θ (°)	d_spacing	Rel. int.
21.83	4.071	36
31.08	2.878	62
31.84	2.811	26
36.61	2.454	19
37.27	2.412	86
43.62	2.075	100
44.52	2.035	84
54.51	1.683	40
72.94	1.297	46
79.46	1.206	29

Structural model:
a = 2.995 Å, b = 3.076 Å, c = 8.142 Å
α = 90.00°, β = 90.00°, γ = 90.00°
Atoms (fractional coordinates):
V  0.000  0.000  0.000
V  0.000  0.500  0.492
V  0.500  0.000  0.285
Re  0.500  0.500  0.791
B  0.000  0.000  0.696
B  0.000  0.500  0.204
B  0.500  0.000  0.570
B  0.500  0.500  0.081

---

6.
Theoretical powder diffractogram
Compound: ThGe2O2
Radiation: a wavelength of 1.5418 Å
Structure: the PBE geometry in the Materials Project
Lines closer than 0.1° are merged.

Most intense lines, 15° ≤ 2θ ≤ 90°, by angle:
2θ (°)	d_spacing	Rel. int.
20.65	4.302	36
21.89	4.060	47
24.57	3.623	46
26.66	3.344	100
34.76	2.581	30
36.57	2.457	65
38.06	2.364	36
39.08	2.305	24
45.83	1.980	34
57.91	1.592	25

Structural model:
a = 9.860 Å, b = 9.860 Å, c = 9.860 Å
α = 122.68°, β = 122.68°, γ = 85.41°
Atoms (fractional coordinates):
Th  0.000  0.000  0.000
Th  0.000  0.000  0.500
Th  0.000  0.500  0.000
Th  0.500  0.000  0.500
Ge  0.210  0.743  0.467
Ge  0.225  0.257  0.967
Ge  0.257  0.225  0.467
Ge  0.257  0.790  0.033
Ge  0.743  0.210  0.967
Ge  0.743  0.775  0.533
Ge  0.775  0.743  0.033
Ge  0.790  0.257  0.533
O  0.144  0.194  0.550
O  0.144  0.593  0.950
O  0.194  0.144  0.050
O  0.407  0.856  0.550
O  0.593  0.144  0.450
O  0.806  0.856  0.950
O  0.856  0.407  0.050
O  0.856  0.806  0.450

---

7.
Theoretical powder diffractogram
Compound: GdAu2
Radiation: a wavelength of 1.5418 Å
Structure: the PBE geometry in the Materials Project
Lines closer than 0.1° are merged.

Most intense lines, 15° ≤ 2θ ≤ 90°, by angle:
2θ (°)	d_spacing	Rel. int.
33.38	2.684	70
37.91	2.373	100
47.93	1.898	26
60.95	1.520	6
62.68	1.482	47
70.11	1.342	8
71.30	1.323	16
79.91	1.200	12
81.04	1.187	12
82.58	1.168	11

Structural model:
a = 3.796 Å, b = 3.796 Å, c = 9.121 Å
α = 90.00°, β = 90.00°, γ = 90.00°
Atoms (fractional coordinates):
Gd  0.000  0.000  0.000
Gd  0.500  0.500  0.500
Au  0.000  0.000  0.335
Au  0.000  0.000  0.665
Au  0.500  0.500  0.165
Au  0.500  0.500  0.835

---

8.
Theoretical powder diffractogram
Compound: Ce4Al2O9
Radiation: a wavelength of 1.5418 Å
Structure: the PBE geometry in the Materials Project
Lines closer than 0.1° are merged.

Most intense lines, 15° ≤ 2θ ≤ 90°, by angle:
2θ (°)	d_spacing	Rel. int.
18.29	4.852	29
26.01	3.426	21
28.01	3.186	100
29.20	3.058	19
29.46	3.032	41
29.64	3.014	56
33.67	2.662	20
42.59	2.123	16
46.43	1.956	19
47.79	1.903	16

Structural model:
a = 7.824 Å, b = 10.980 Å, c = 11.472 Å
α = 90.00°, β = 109.45°, γ = 90.00°
Atoms (fractional coordinates):
Ce  0.025  0.098  0.290
Ce  0.025  0.402  0.790
Ce  0.166  0.626  0.571
Ce  0.166  0.874  0.071
Ce  0.337  0.125  0.916
Ce  0.337  0.375  0.416
Ce  0.474  0.586  0.192
Ce  0.474  0.914  0.692
Ce  0.526  0.086  0.308
Ce  0.526  0.414  0.808
Ce  0.663  0.625  0.584
Ce  0.663  0.875  0.084
Ce  0.834  0.126  0.929
Ce  0.834  0.374  0.429
Ce  0.975  0.598  0.210
Ce  0.975  0.902  0.710
Al  0.151  0.189  0.619
Al  0.151  0.311  0.119
Al  0.276  0.691  0.871
Al  0.276  0.809  0.371
Al  0.724  0.191  0.629
Al  0.724  0.309  0.129
Al  0.849  0.689  0.881
Al  0.849  0.811  0.381
O  0.066  0.738  0.883
O  0.066  0.762  0.383
O  0.068  0.006  0.896
O  0.068  0.494  0.396
O  0.140  0.229  0.468
O  0.140  0.271  0.968
O  0.202  0.037  0.671
O  0.202  0.463  0.171
O  0.269  0.723  0.238
O  0.269  0.777  0.738
O  0.283  0.221  0.247
O  0.283  0.279  0.747
O  0.284  0.536  0.833
O  0.284  0.964  0.333
O  0.420  0.735  0.019
O  0.420  0.765  0.519
O  0.425  0.003  0.106
O  0.425  0.497  0.606
O  0.575  0.503  0.394
O  0.575  0.997  0.894
O  0.580  0.235  0.481
O  0.580  0.265  0.981
O  0.716  0.036  0.667
O  0.716  0.464  0.167
O  0.717  0.721  0.253
O  0.717  0.779  0.753
O  0.731  0.223  0.262
O  0.731  0.277  0.762
O  0.798  0.537  0.829
O  0.798  0.963  0.329
O  0.860  0.729  0.032
O  0.860  0.771  0.532
O  0.932  0.506  0.604
O  0.932  0.994  0.104
O  0.934  0.238  0.617
O  0.934  0.262  0.117

---

Please write out number 8 again, unchanged.
Theoretical powder diffractogram
Compound: Ce4Al2O9
Radiation: a wavelength of 1.5418 Å
Structure: the PBE geometry in the Materials Project
Lines closer than 0.1° are merged.

Most intense lines, 15° ≤ 2θ ≤ 90°, by angle:
2θ (°)	d_spacing	Rel. int.
18.29	4.852	29
26.01	3.426	21
28.01	3.186	100
29.20	3.058	19
29.46	3.032	41
29.64	3.014	56
33.67	2.662	20
42.59	2.123	16
46.43	1.956	19
47.79	1.903	16

Structural model:
a = 7.824 Å, b = 10.980 Å, c = 11.472 Å
α = 90.00°, β = 109.45°, γ = 90.00°
Atoms (fractional coordinates):
Ce  0.025  0.098  0.290
Ce  0.025  0.402  0.790
Ce  0.166  0.626  0.571
Ce  0.166  0.874  0.071
Ce  0.337  0.125  0.916
Ce  0.337  0.375  0.416
Ce  0.474  0.586  0.192
Ce  0.474  0.914  0.692
Ce  0.526  0.086  0.308
Ce  0.526  0.414  0.808
Ce  0.663  0.625  0.584
Ce  0.663  0.875  0.084
Ce  0.834  0.126  0.929
Ce  0.834  0.374  0.429
Ce  0.975  0.598  0.210
Ce  0.975  0.902  0.710
Al  0.151  0.189  0.619
Al  0.151  0.311  0.119
Al  0.276  0.691  0.871
Al  0.276  0.809  0.371
Al  0.724  0.191  0.629
Al  0.724  0.309  0.129
Al  0.849  0.689  0.881
Al  0.849  0.811  0.381
O  0.066  0.738  0.883
O  0.066  0.762  0.383
O  0.068  0.006  0.896
O  0.068  0.494  0.396
O  0.140  0.229  0.468
O  0.140  0.271  0.968
O  0.202  0.037  0.671
O  0.202  0.463  0.171
O  0.269  0.723  0.238
O  0.269  0.777  0.738
O  0.283  0.221  0.247
O  0.283  0.279  0.747
O  0.284  0.536  0.833
O  0.284  0.964  0.333
O  0.420  0.735  0.019
O  0.420  0.765  0.519
O  0.425  0.003  0.106
O  0.425  0.497  0.606
O  0.575  0.503  0.394
O  0.575  0.997  0.894
O  0.580  0.235  0.481
O  0.580  0.265  0.981
O  0.716  0.036  0.667
O  0.716  0.464  0.167
O  0.717  0.721  0.253
O  0.717  0.779  0.753
O  0.731  0.223  0.262
O  0.731  0.277  0.762
O  0.798  0.537  0.829
O  0.798  0.963  0.329
O  0.860  0.729  0.032
O  0.860  0.771  0.532
O  0.932  0.506  0.604
O  0.932  0.994  0.104
O  0.934  0.238  0.617
O  0.934  0.262  0.117

---

What did the second record say?
Theoretical powder diffractogram
Compound: VS2
Radiation: a wavelength of 1.5418 Å
Structure: the PBE geometry in the Materials Project
Lines closer than 0.1° are merged.

Most intense lines, 15° ≤ 2θ ≤ 90°, by angle:
2θ (°)	d_spacing	Rel. int.
32.51	2.754	48
34.87	2.573	26
37.63	2.390	76
45.53	1.992	100
55.70	1.650	15
58.00	1.590	30
59.53	1.553	19
71.23	1.324	10
76.67	1.243	19
80.53	1.193	11

Structural model:
a = 3.180 Å, b = 3.180 Å, c = 14.430 Å
α = 90.00°, β = 90.00°, γ = 120.00°
Atoms (fractional coordinates):
V  0.333  0.667  0.250
V  0.667  0.333  0.750
S  0.333  0.667  0.647
S  0.333  0.667  0.853
S  0.667  0.333  0.147
S  0.667  0.333  0.353

---

Q: Which formula does entry 2 have?
A: VS2